# UVO4
Theoretical X-ray powder pattern, Cu Kα X-rays. Input: DFT lattice parameters and positions (GGA+U).
Intensities are scaled so that the largest is 100.

Main lines, by angle (10 to 90 degrees two-theta):
two_theta, I (rel.)
18.67, 73
25.61, 100
31.88, 44
33.01, 83
36.53, 25
50.05, 68
52.62, 17
59.41, 17
63.10, 16
63.53, 20

Crystal structure
```
data_UVO4
_chemical_formula_sum 'U4 V4 O16'
_cell_length_a 6.9578
_cell_length_b 6.9578
_cell_length_c 6.5060
_cell_angle_alpha 90.00
_cell_angle_beta 90.00
_cell_angle_gamma 90.00
_space_group_name_H-M_alt 'I 41 m d'
_space_group_IT_number 109
_space_group_name_Hall 'I 4bw -2'
loop_
_atom_site_label
_atom_site_type_symbol
_atom_site_fract_x
_atom_site_fract_y
_atom_site_fract_z
U1 U 0.0000 0.0000 0.0000
V1 V 0.0000 0.0000 0.5081
O1 O 0.0000 0.1894 0.2648
O2 O 0.0000 0.2002 0.7504
```